Simulated powder X-ray diffraction pattern of Na2CoP2O7 for Cu Kα, 1.54184 Å, from a cell relaxed with GGA+U.
Neutral-atom scattering factors, no anomalous dispersion.

Most intense lines, 15 to 90 degrees two-theta, most intense first:
2θ (°), intensity, h k l
17.40, 1000, 1 1 0
26.56, 878, 0 1 -3
37.84, 381, 3 -1 2
33.92, 248, 1 -3 2
31.18, 197, 1 -3 0
23.57, 185, 2 -1 1

Crystal structure
```
data_Na2CoP2O7
_cell_length_a 8.684
_cell_length_b 8.688
_cell_length_c 10.450
_cell_angle_alpha 97.63
_cell_angle_beta 97.51
_cell_angle_gamma 106.12
_symmetry_space_group_name_H-M 'P 1'
_symmetry_Int_Tables_number 1
loop_
_symmetry_equiv_pos_as_xyz
'x,y,z'
loop_
_atom_site_label
_atom_site_fract_x
_atom_site_fract_y
_atom_site_fract_z
Na1 0.008 0.492 0.250
Na2 0.243 0.757 0.500
Na3 0.257 0.742 0.000
Na4 0.492 0.008 0.249
Na5 0.508 0.992 0.751
Na6 0.743 0.258 0.000
Na7 0.757 0.243 0.500
Na8 0.992 0.508 0.750
Co1 0.000 0.000 0.500
Co2 0.250 0.250 0.249
Co3 0.500 0.500 0.000
Co4 0.750 0.750 0.751
P1 0.073 0.867 0.219
P2 0.134 0.927 0.781
P3 0.367 0.573 0.720
P4 0.427 0.634 0.281
P5 0.573 0.366 0.719
P6 0.633 0.427 0.280
P7 0.866 0.073 0.219
P8 0.927 0.133 0.781
O1 0.010 0.220 0.206
O2 0.066 0.856 0.365
O3 0.068 0.707 0.138
O4 0.091 0.091 0.840
O5 0.143 0.933 0.635
O6 0.208 0.569 0.639
O7 0.220 0.010 0.206
O8 0.280 0.490 0.293
O9 0.293 0.932 0.862
O10 0.355 0.564 0.866
O11 0.410 0.410 0.660
O12 0.431 0.793 0.361
O13 0.434 0.644 0.134
O14 0.489 0.280 0.292
O15 0.511 0.720 0.708
O16 0.566 0.356 0.866
O17 0.569 0.207 0.639
O18 0.590 0.590 0.340
O19 0.645 0.436 0.134
O20 0.707 0.068 0.138
O21 0.720 0.510 0.707
O22 0.780 0.990 0.794
O23 0.792 0.431 0.361
O24 0.857 0.067 0.365
O25 0.909 0.909 0.160
O26 0.932 0.293 0.862
O27 0.934 0.144 0.635
O28 0.990 0.780 0.794
```